Entry 1:
Theoretical PXRD pattern
Compound: Cs2K5Cd4
Radiation: λ = 1.5418 Å (Cu Kα)
Structure: the GGA-PBE geometry in Alexandria
No peak broadening, texture or thermal motion is included.

Peak list (6 most intense, 10 to 90 degrees two-theta, in order of rising 2θ)
d (Å)	Rel. int.
6.532	100
4.213	78
3.513	66
3.266	59
3.110	64
3.083	67

Atomic structure:
```
Cs2K5Cd4
1.0
8.5140 -4.2132 0.0000
8.5140 4.2132 0.0000
-5.0904 0.0000 9.1225
Cs K Cd
2 5 4
Direct
0.2272 0.2272 0.0998
0.7728 0.7728 0.9002
0.1459 0.6389 0.5909
0.3611 0.8541 0.4091
0.5000 0.5000 0.0000
0.6389 0.1459 0.5909
0.8541 0.3611 0.4091
0.0782 0.0782 0.6576
0.2667 0.2667 0.7325
0.7333 0.7333 0.2675
0.9218 0.9218 0.3424
```

***

Entry 2:
Theoretical PXRD pattern
Compound: CaDySi
Radiation: λ = 1.5418 Å (Cu Kα)
Structure: the GGA-PBE geometry in Alexandria
No peak broadening, texture or thermal motion is included.

Peak list (6 most intense, 10 to 90 degrees two-theta, in order of rising 2θ)
d (Å)	Rel. int.
7.572	100
3.045	93
2.498	59
2.351	35
2.246	21
1.459	20

Atomic structure:
```
CaDySi
1.0
4.7027 0.0000 0.0000
0.0000 4.7027 0.0000
0.0000 0.0000 7.5718
Ca Dy Si
2 2 2
Direct
0.2500 0.2500 0.1345
0.7500 0.7500 0.8655
0.2500 0.7500 0.5000
0.7500 0.2500 0.5000
0.2500 0.2500 0.7358
0.7500 0.7500 0.2642
```